Structure and theoretical X-ray diffraction stick pattern of Li3Mg2Ga4 (a GGA-PBE-relaxed structure; Cu Kα).
Kinematic intensities with the Lorentz-polarization factor, no thermal factor.

Most intense lines, 2θ from 5° to 70°, by angle:
- d 4.513, intensity 25
- d 4.078, intensity 8
- d 3.650, intensity 17
- d 3.600, intensity 8
- d 3.222, intensity 33
- d 2.572, intensity 10
- d 2.369, intensity 100
- d 2.070, intensity 34
- d 2.017, intensity 14
- d 1.444, intensity 18

Cell and atoms:
Lattice parameters (Å, degrees): 4.138 5.047 8.578 94.60 103.90 114.09
Atoms (fractional coordinates):
Li: 0.000 0.000 0.000
Li: 0.101 0.760 0.443
Li: 0.899 0.240 0.557
Mg: 0.458 0.134 0.783
Mg: 0.542 0.866 0.217
Ga: 0.223 0.570 0.873
Ga: 0.329 0.317 0.343
Ga: 0.671 0.683 0.657
Ga: 0.777 0.430 0.127

***

Structure and theoretical X-ray diffraction stick pattern of Li3Mg2Ga2 (a GGA-PBE-relaxed structure; Cu Kα).
Kinematic intensities with the Lorentz-polarization factor, no thermal factor.

Most intense lines, 2θ from 5° to 70°, by angle:
- d 6.375, intensity 50
- d 4.398, intensity 25
- d 3.949, intensity 95
- d 3.723, intensity 74
- d 3.291, intensity 43
- d 3.187, intensity 39
- d 2.334, intensity 58
- d 2.327, intensity 61
- d 2.259, intensity 100
- d 1.973, intensity 26

Cell and atoms:
Lattice parameters (Å, degrees): 9.028 4.515 7.063 90.00 115.51 90.00
Atoms (fractional coordinates):
Li: 0.000 0.000 0.000
Li: 0.133 0.000 0.430
Li: 0.367 0.500 0.570
Li: 0.500 0.500 0.000
Li: 0.633 0.500 0.430
Li: 0.867 0.000 0.570
Mg: 0.143 0.500 0.766
Mg: 0.357 0.000 0.234
Mg: 0.643 0.000 0.766
Mg: 0.857 0.500 0.234
Ga: 0.146 0.500 0.178
Ga: 0.354 0.000 0.822
Ga: 0.646 0.000 0.178
Ga: 0.854 0.500 0.822

***

Structure and theoretical X-ray diffraction stick pattern of LiMg3Ga3 (a GGA-PBE-relaxed structure; Cu Kα).
Kinematic intensities with the Lorentz-polarization factor, no thermal factor.

Most intense lines, 2θ from 5° to 70°, by angle:
- d 6.184, intensity 15
- d 5.552, intensity 35
- d 3.845, intensity 64
- d 3.161, intensity 47
- d 2.489, intensity 29
- d 2.251, intensity 100
- d 2.220, intensity 37
- d 2.154, intensity 12
- d 2.008, intensity 16
- d 1.389, intensity 19

Cell and atoms:
Lattice parameters (Å, degrees): 7.109 7.109 7.109 65.49 65.49 65.49
Atoms (fractional coordinates):
Li: 0.147 0.147 0.147
Li: 0.853 0.853 0.853
Mg: 0.034 0.251 0.568
Mg: 0.251 0.568 0.034
Mg: 0.432 0.966 0.749
Mg: 0.568 0.034 0.251
Mg: 0.749 0.432 0.966
Mg: 0.966 0.749 0.432
Ga: 0.179 0.441 0.745
Ga: 0.255 0.821 0.559
Ga: 0.441 0.745 0.179
Ga: 0.559 0.255 0.821
Ga: 0.745 0.179 0.441
Ga: 0.821 0.559 0.255

***

Structure and theoretical X-ray diffraction stick pattern of Li9Mg2Ga (a GGA-PBE-relaxed structure; Cu Kα).
Kinematic intensities with the Lorentz-polarization factor, no thermal factor.

Most intense lines, 2θ from 5° to 70°, by angle:
- d 4.688, intensity 52
- d 4.612, intensity 100
- d 4.519, intensity 56
- d 3.838, intensity 40
- d 3.564, intensity 82
- d 3.536, intensity 41
- d 2.728, intensity 61
- d 2.354, intensity 50
- d 2.337, intensity 56
- d 2.317, intensity 81

Cell and atoms:
Lattice parameters (Å, degrees): 5.457 5.457 9.635 107.54 107.54 59.22
Atoms (fractional coordinates):
Li: 0.000 0.000 0.000
Li: 0.185 0.185 0.560
Li: 0.255 0.742 0.741
Li: 0.256 0.256 0.258
Li: 0.258 0.745 0.259
Li: 0.742 0.255 0.741
Li: 0.744 0.744 0.742
Li: 0.745 0.258 0.259
Li: 0.815 0.815 0.440
Mg: 0.313 0.313 0.939
Mg: 0.687 0.687 0.061
Ga: 0.500 0.500 0.500